Diffraction record for HoSiH2O4. The powder X-ray diffraction pattern is computed, not measured: it uses a structure optimized by DFT (PBE) and Cu Kα, 1.54184 Å.
Kinematic intensities with the Lorentz-polarization factor, no thermal factor.

Crystal structure
```
HoSiH2O4
1.0
4.7724 0.0000 0.0000
0.0000 6.5830 0.0000
-1.6089 0.0000 5.3929
Ho Si H O
2 2 4 8
Direct
0.0003 0.2500 0.1519
0.9997 0.7500 0.8481
0.2793 0.2500 0.7131
0.7207 0.7500 0.2869
0.3470 0.7500 0.4952
0.5000 0.0000 0.0000
0.5000 0.5000 0.0000
0.6530 0.2500 0.5048
0.0588 0.7500 0.4780
0.2471 0.0506 0.9077
0.2471 0.4494 0.9077
0.4182 0.2500 0.4648
0.5818 0.7500 0.5352
0.7529 0.5506 0.0923
0.7529 0.9494 0.0923
0.9412 0.2500 0.5220
```

Peak list (10 most intense, 2θ from 15° to 90°, sorted by position)
two_theta, I (rel.), (hkl)
16.44, 40, 0 0 1
19.41, 100, 1 0 0
21.30, 64, 0 1 1
25.52, 72, 1 1 -1
27.09, 73, 0 2 0
28.99, 30, 1 0 1
32.08, 43, 1 1 1
33.54, 53, 1 2 0
35.99, 42, 0 1 2
36.16, 57, 1 1 -2